No. 1
For FeOF, the GGA+U geometry in the Materials Project gives the calculated powder diffractogram in this record (CuKα).
Intensities are scaled so that the largest is 100.

Most intense lines, 10 to 90 degrees two-theta, by intensity:
- 34.58°, intensity 100, (0 1 3)
- 26.41°, intensity 93, (2 0 -3)
- 26.60°, intensity 91, (2 0 3)
- 52.29°, intensity 52, (2 1 6)
- 52.03°, intensity 29, (2 1 -6)
- 52.11°, intensity 26, (4 1 -3)

Structure:
```
data_FeOF
_symmetry_space_group_name_H-M 'P 1 m 1'
_symmetry_Int_Tables_number 6
_cell_length_a 9.4941
_cell_length_b 3.0953
_cell_length_c 14.2942
_cell_angle_alpha 90.00
_cell_angle_beta 90.41
_cell_angle_gamma 90.00
loop_
_symmetry_equiv_pos_as_xyz
'x,y,z'
'x,-y,z'
loop_
_atom_site_label
_atom_site_type_symbol
_atom_site_fract_x
_atom_site_fract_y
_atom_site_fract_z
Fe1 Fe 0.0000 0.0000 0.0000
Fe2 Fe 0.0002 0.0000 0.3412
Fe3 Fe 0.0155 0.0000 0.6688
Fe4 Fe 0.2602 0.5000 0.8173
Fe5 Fe 0.2626 0.5000 0.5219
Fe6 Fe 0.2863 0.5000 0.1727
Fe7 Fe 0.4984 0.0000 0.6705
Fe8 Fe 0.5047 0.0000 0.0082
Fe9 Fe 0.5119 0.0000 0.3329
Fe10 Fe 0.7903 0.5000 0.5086
Fe11 Fe 0.7934 0.5000 0.8308
Fe12 Fe 0.7979 0.5000 0.1692
O1 O 0.1102 0.5000 0.6038
O2 O 0.1658 0.0000 0.7727
O3 O 0.3685 0.0000 0.2370
O4 O 0.3691 0.0000 0.5637
O5 O 0.4197 0.5000 0.0674
O6 O 0.4246 0.5000 0.7357
O7 O 0.8602 0.0000 0.5682
O8 O 0.8640 0.0000 0.9002
O9 O 0.8668 0.0000 0.2346
O10 O 0.9191 0.5000 0.7305
O11 O 0.9203 0.5000 0.4009
O12 O 0.9250 0.5000 0.0660
F1 F 0.1179 0.5000 0.2694
F2 F 0.1229 0.5000 0.9417
F3 F 0.1737 0.0000 0.1062
F4 F 0.1749 0.0000 0.4318
F5 F 0.3661 0.0000 0.9016
F6 F 0.4212 0.5000 0.4005
F7 F 0.6094 0.5000 0.9392
F8 F 0.6143 0.5000 0.6025
F9 F 0.6177 0.5000 0.2700
F10 F 0.6617 0.0000 0.4333
F11 F 0.6689 0.0000 0.7705
F12 F 0.6705 0.0000 0.1041
```


No. 2
For Sr3Mn2O7, the GGA+U geometry in the Materials Project gives the calculated powder diffractogram in this record (CuKα).
Intensities are scaled so that the largest is 100.

Most intense lines, 10 to 90 degrees two-theta, by intensity:
- 31.92°, intensity 100, (1 0 5)
- 32.64°, intensity 67, (1 1 0)
- 46.83°, intensity 43, (2 0 0)
- 57.79°, intensity 37, (2 1 5)
- 42.44°, intensity 25, (1 1 6)
- 66.73°, intensity 16, (2 0 10)

Structure:
```
data_Sr3Mn2O7
_symmetry_space_group_name_H-M 'I 4/m m m'
_symmetry_Int_Tables_number 139
_symmetry_space_group_name_Hall '-I 4 2'
_cell_length_a 3.8801
_cell_length_b 3.8801
_cell_length_c 20.2785
_cell_angle_alpha 90.00
_cell_angle_beta 90.00
_cell_angle_gamma 90.00
loop_
_atom_site_label
_atom_site_type_symbol
_atom_site_fract_x
_atom_site_fract_y
_atom_site_fract_z
Sr1 Sr 0.0000 0.0000 0.0000
Sr2 Sr 0.0000 0.0000 0.1830
Mn1 Mn 0.0000 0.0000 0.4027
O1 O 0.0000 0.0000 0.3074
O2 O 0.0000 0.0000 0.5000
O3 O 0.0000 0.5000 0.0958
```


No. 3
For NdMoBrO4, the GGA+U geometry in the Materials Project gives the calculated powder diffractogram in this record (CuKα).
Intensities are scaled so that the largest is 100.

Most intense lines, 10 to 90 degrees two-theta, by intensity:
- 23.72°, intensity 100, (0 2 -1)
- 24.82°, intensity 49, (1 0 2)
- 13.23°, intensity 35, (1 0 0)
- 32.00°, intensity 31, (1 1 -4)
- 26.64°, intensity 21, (2 0 0)
- 28.91°, intensity 21, (2 1 -2)

Structure:
```
data_NdMoBrO4
_symmetry_space_group_name_H-M 'P -1'
_symmetry_Int_Tables_number 2
_cell_length_a 7.0522
_cell_length_b 7.5172
_cell_length_c 11.3464
_cell_angle_alpha 106.20
_cell_angle_beta 106.72
_cell_angle_gamma 92.45
loop_
_symmetry_equiv_pos_as_xyz
'x,y,z'
'-x,-y,-z'
loop_
_atom_site_label
_atom_site_type_symbol
_atom_site_fract_x
_atom_site_fract_y
_atom_site_fract_z
Nd1 Nd 0.1048 0.3541 0.2311
Nd2 Nd 0.1443 0.1265 0.7303
Mo1 Mo 0.2345 0.8174 0.1341
Mo2 Mo 0.2756 0.5927 0.6306
Br1 Br 0.2429 0.0312 0.4818
Br2 Br 0.3054 0.2878 0.0194
O1 O 0.1081 0.0200 0.1795
O2 O 0.1238 0.6587 0.1996
O3 O 0.1615 0.7957 0.6972
O4 O 0.1754 0.7322 0.9634
O5 O 0.1813 0.5104 0.4587
O6 O 0.1975 0.4293 0.7030
O7 O 0.4602 0.3609 0.3228
O8 O 0.4979 0.8668 0.2066
```


No. 4
For Li4TiNi3O8, the GGA+U geometry in the Materials Project gives the calculated powder diffractogram in this record (CuKα).
Intensities are scaled so that the largest is 100.

Most intense lines, 10 to 90 degrees two-theta, by intensity:
- 18.34°, intensity 100, (1 0 0)
- 43.08°, intensity 52, (2 2 -2)
- 35.66°, intensity 30, (1 2 -2)
- 44.34°, intensity 24, (0 0 4)
- 37.52°, intensity 15, (2 0 -4)
- 63.32°, intensity 14, (2 2 2)

Structure:
```
data_Li4TiNi3O8
_symmetry_space_group_name_H-M 'P 1 21/c 1'
_symmetry_Int_Tables_number 14
_cell_length_a 5.9635
_cell_length_b 5.9150
_cell_length_c 10.0760
_cell_angle_alpha 90.00
_cell_angle_beta 125.80
_cell_angle_gamma 90.00
loop_
_symmetry_equiv_pos_as_xyz
'x,y,z'
'-x,-y,-z'
'-x,y+1/2,-z+1/2'
'x,-y+1/2,z+1/2'
loop_
_atom_site_label
_atom_site_type_symbol
_atom_site_fract_x
_atom_site_fract_y
_atom_site_fract_z
Li1 Li 0.0000 0.0000 0.0000
Li2 Li 0.0000 0.0000 0.5000
Li3 Li 0.0015 0.2484 0.2493
Ti1 Ti 0.5000 0.0000 0.0000
Ni1 Ni 0.4992 0.7488 0.7497
Ni2 Ni 0.5000 0.0000 0.5000
O1 O 0.2502 0.5009 0.2628
O2 O 0.2751 0.7396 0.5135
O3 O 0.2768 0.2420 0.0138
O4 O 0.2904 0.0019 0.2517
```


No. 5
For KVMoO6, the GGA+U geometry in the Materials Project gives the calculated powder diffractogram in this record (CuKα).
Intensities are scaled so that the largest is 100.

Most intense lines, 10 to 90 degrees two-theta, by intensity:
- 28.29°, intensity 100, (3 0 2)
- 25.90°, intensity 98, (0 0 4)
- 10.50°, intensity 83, (1 0 1)
- 12.84°, intensity 68, (0 0 2)
- 15.31°, intensity 62, (1 0 2)
- 29.78°, intensity 48, (2 1 1)

Structure:
```
data_KVMoO6
_symmetry_space_group_name_H-M 'P n m a'
_symmetry_Int_Tables_number 62
_cell_length_a 10.6404
_cell_length_b 3.7652
_cell_length_c 13.7915
_cell_angle_alpha 90.00
_cell_angle_beta 90.00
_cell_angle_gamma 90.00
loop_
_symmetry_equiv_pos_as_xyz
'x,y,z'
'-x,-y,-z'
'-x+1/2,-y,z+1/2'
'x+1/2,y,-z+1/2'
'x+1/2,-y+1/2,-z+1/2'
'-x+1/2,y+1/2,z+1/2'
'-x,y+1/2,-z'
'x,-y+1/2,z'
loop_
_atom_site_label
_atom_site_type_symbol
_atom_site_fract_x
_atom_site_fract_y
_atom_site_fract_z
K1 K 0.1153 0.2500 0.1379
V1 V 0.0141 0.2500 0.6081
Mo1 Mo 0.2340 0.2500 0.4231
O1 O 0.0066 0.7500 0.2735
O2 O 0.0271 0.2500 0.4240
O3 O 0.1159 0.7500 0.9758
O4 O 0.1719 0.2500 0.5866
O5 O 0.1827 0.7500 0.4353
O6 O 0.2361 0.7500 0.7995
```


No. 6
For La2MgMoO6, the GGA+U geometry in the Materials Project gives the calculated powder diffractogram in this record (CuKα).
Intensities are scaled so that the largest is 100.

Most intense lines, 10 to 90 degrees two-theta, by intensity:
- 25.62°, intensity 100, (1 0 3)
- 28.99°, intensity 45, (1 1 0)
- 49.38°, intensity 33, (2 1 3)
- 42.95°, intensity 30, (1 1 6)
- 41.46°, intensity 17, (2 0 0)
- 52.65°, intensity 15, (2 0 6)

Structure:
```
data_La2MgMoO6
_symmetry_space_group_name_H-M 'I -4 2 m'
_symmetry_Int_Tables_number 121
_symmetry_space_group_name_Hall 'I -4 2'
_cell_length_a 4.3556
_cell_length_b 4.3556
_cell_length_c 17.3161
_cell_angle_alpha 90.00
_cell_angle_beta 90.00
_cell_angle_gamma 90.00
loop_
_atom_site_label
_atom_site_type_symbol
_atom_site_fract_x
_atom_site_fract_y
_atom_site_fract_z
La1 La 0.0000 0.0000 0.1857
Mg1 Mg 0.0000 0.0000 0.0000
Mo1 Mo 0.0000 0.0000 0.5000
O1 O 0.0000 0.5000 0.2500
O2 O 0.2480 0.2480 0.9302
```